Record 1
Computed XRD peak list of Mn2InC10ClO10 for Cu Kα, from a cell relaxed with GGA+U.

Principal peaks in the range 2θ = 15–90°, sorted by position:
hkl	Position (°2θ)	I/Imax
0 1 -2	17.0	34.8
2 0 0	20.2	55.8
2 1 -2	26.2	47.3
1 2 -3	28.4	27.6
2 2 0	29.7	24.8
0 3 -3	30.9	75.0
1 -3 0	31.1	100.0
3 -1 0	31.3	84.3
0 1 3	34.6	25.4
0 1 -4	35.0	25.4
3 2 -3	40.7	59.0
3 -4 3	48.2	26.5

Atomic structure:
a = 8.8349 Å, b = 9.9647 Å, c = 10.4831 Å
α = 116.74°, β = 91.71°, γ = 93.32°
Space group P-1 (No. 2)
Symmetry-distinct sites (fractional):
Mn1 0.2400 0.2413 0.4053 (multiplicity 2)
Mn2 0.2450 0.7227 0.0753 (multiplicity 2)
In1 0.1529 0.0045 0.1483 (multiplicity 2)
C1 0.0355 0.2794 0.4252 (multiplicity 2)
C2 0.0866 0.7200 0.1867 (multiplicity 2)
C3 0.1146 0.6728 0.9169 (multiplicity 2)
C4 0.2058 0.1014 0.4757 (multiplicity 2)
C5 0.2677 0.3592 0.3104 (multiplicity 2)
C6 0.2950 0.5282 0.0045 (multiplicity 2)
C7 0.3066 0.3964 0.5769 (multiplicity 2)
C8 0.3782 0.7866 0.2360 (multiplicity 2)
C9 0.3935 0.7867 0.9895 (multiplicity 2)
C10 0.4345 0.1782 0.3620 (multiplicity 2)
Cl1 0.1459 0.0444 0.9175 (multiplicity 2)
O1 0.0119 0.2831 0.7435 (multiplicity 2)
O2 0.0394 0.6362 0.8125 (multiplicity 2)
O3 0.0899 0.6940 0.5562 (multiplicity 2)
O4 0.1856 0.0147 0.5197 (multiplicity 2)
O5 0.2904 0.4390 0.2591 (multiplicity 2)
O6 0.3288 0.4050 0.9529 (multiplicity 2)
O7 0.3532 0.4964 0.6841 (multiplicity 2)
O8 0.4433 0.8582 0.6601 (multiplicity 2)
O9 0.4606 0.8219 0.3356 (multiplicity 2)
O10 0.4891 0.8247 0.9366 (multiplicity 2)

***

Record 2
Computed XRD peak list of Fe3S2O15 for Cu Kα, from a cell relaxed with GGA+U.

Principal peaks in the range 2θ = 15–90°, sorted by position:
hkl	Position (°2θ)	I/Imax
1 0 1	15.2	19.3
0 0 3	15.8	36.4
0 1 2	17.7	100.0
1 0 4	25.5	16.9
0 2 1	29.3	95.4
1 1 3	29.6	71.3
0 0 6	31.8	18.3
1 0 7	40.2	24.7
0 3 3	46.8	29.4
0 2 7	47.8	16.5
2 2 0	51.0	30.3
0 2 10	62.7	17.1

Atomic structure:
a = 7.1676 Å, b = 7.1676 Å, c = 16.8583 Å
α = 90.00°, β = 90.00°, γ = 120.00°
Space group R3m (No. 160, hexagonal axes)
Symmetry-distinct sites (fractional):
Fe1 0.0036 0.5018 0.0000 (multiplicity 9)
S1 0.0000 0.0000 0.1872 (multiplicity 3)
S2 0.0000 0.0000 0.8115 (multiplicity 3)
O1 0.0000 0.0000 0.1006 (multiplicity 3)
O2 0.0000 0.0000 0.4521 (multiplicity 3)
O3 0.0000 0.0000 0.8978 (multiplicity 3)
O4 0.1058 0.5529 0.8836 (multiplicity 9)
O5 0.1113 0.2225 0.6348 (multiplicity 9)
O6 0.2104 0.4207 0.0283 (multiplicity 9)
O7 0.2194 0.4389 0.4484 (multiplicity 9)

***

Record 3
Computed XRD peak list of U2NiP2H24O24 for Cu Kα, from a cell relaxed with GGA+U.

Principal peaks in the range 2θ = 15–90°, sorted by position:
hkl	Position (°2θ)	I/Imax
1 0 -1	15.8	27.7
0 0 2	16.0	45.0
1 1 0	18.0	48.5
1 0 2	19.2	30.8
-1 1 1	19.6	26.2
1 1 2	21.7	23.1
0 1 -2	22.0	29.0
0 2 1	25.6	100.0
2 0 1	25.9	35.4
0 2 2	28.0	28.0
1 -3 0	41.0	29.1
0 4 0	52.6	19.8

Atomic structure:
a = 7.0195 Å, b = 7.0540 Å, c = 11.2842 Å
α = 81.05°, β = 82.84°, γ = 88.76°
Space group P-1 (No. 2)
Symmetry-distinct sites (fractional):
U1 0.2363 0.2311 0.0744 (multiplicity 2)
Ni1 0.5000 0.0000 0.5000 (multiplicity 1)
P1 0.2499 0.7482 0.9990 (multiplicity 2)
H1 0.0511 0.8045 0.3653 (multiplicity 2)
H2 0.0533 0.8298 0.2246 (multiplicity 2)
H3 0.1249 0.4393 0.6910 (multiplicity 2)
H4 0.1525 0.6268 0.7487 (multiplicity 2)
H5 0.2402 0.1826 0.3901 (multiplicity 2)
H6 0.2471 0.0690 0.6878 (multiplicity 2)
H7 0.2469 0.7155 0.5401 (multiplicity 2)
H8 0.3506 0.7223 0.4049 (multiplicity 2)
H9 0.3633 0.3469 0.4118 (multiplicity 2)
H10 0.3651 0.5674 0.2346 (multiplicity 2)
H11 0.4102 0.9404 0.7510 (multiplicity 2)
H12 0.4372 0.4621 0.7095 (multiplicity 2)
O1 0.0285 0.2112 0.6978 (multiplicity 2)
O2 0.0891 0.7369 0.9181 (multiplicity 2)
O3 0.1965 0.1853 0.2396 (multiplicity 2)
O4 0.2018 0.5595 0.6818 (multiplicity 2)
O5 0.2028 0.9052 0.0808 (multiplicity 2)
O6 0.2665 0.5544 0.0840 (multiplicity 2)
O7 0.2732 0.2712 0.9106 (multiplicity 2)
O8 0.2898 0.8043 0.4641 (multiplicity 2)
O9 0.3103 0.2203 0.4533 (multiplicity 2)
O10 0.3650 0.9918 0.6736 (multiplicity 2)
O11 0.4226 0.5587 0.3107 (multiplicity 2)
O12 0.4399 0.7976 0.9146 (multiplicity 2)